Diffraction record for BaCoSO. The PXRD pattern is computed, not measured: it uses DFT lattice parameters and positions (PBE+U) and Cu Kα.
Intensities are scaled so that the largest is 100.

Most intense lines, 15° ≤ 2θ ≤ 90°, sorted by position:
| d [Å] | I_rel |
| --- | --- |
| 3.269 | 40.0 |
| 3.228 | 27.8 |
| 3.090 | 48.3 |
| 2.944 | 21.4 |
| 2.658 | 100.0 |
| 2.232 | 29.6 |
| 2.018 | 18.4 |
| 1.688 | 40.2 |
| 1.619 | 26.3 |
| 1.497 | 16.4 |

Cell and atoms:
Cell: 4.0354 12.9138 6.1795 Å, 90.00 90.00 90.00°
Space group Cmcm (No. 63)
One atom of each set of equivalent atoms:
Ba  0.0000  0.1136  0.2500
Co  0.0000  0.4056  0.2500
S  0.0000  0.1904  0.7500
O  0.0000  0.5000  0.0000

Diffraction record for CaFe3O5. The PXRD pattern is computed, not measured: it uses DFT lattice parameters and positions (PBE+U) and Cu Kα.
Intensities are scaled so that the largest is 100.

Most intense lines, 15° ≤ 2θ ≤ 90°, sorted by position:
| d [Å] | I_rel |
| --- | --- |
| 2.853 | 26.2 |
| 2.709 | 100.0 |
| 2.660 | 30.2 |
| 2.573 | 29.3 |
| 2.283 | 22.6 |
| 2.245 | 50.1 |
| 2.147 | 64.2 |
| 2.010 | 23.8 |
| 1.584 | 21.3 |
| 1.330 | 25.3 |

Cell and atoms:
Cell: 3.0534 10.2923 12.7464 Å, 90.00 90.00 90.00°
Space group Cmcm (No. 63)
One atom of each set of equivalent atoms:
Ca  0.0000  0.0213  0.2500
Fe  0.0000  0.2320  0.6094
Fe  0.0000  0.5000  0.0000
O  0.0000  0.1512  0.0508
O  0.0000  0.3111  0.7500
O  0.0000  0.4006  0.1372

Diffraction record for CeFe4Cu3O12. The PXRD pattern is computed, not measured: it uses DFT lattice parameters and positions (PBE+U) and Cu Kα.
Intensities are scaled so that the largest is 100.

Most intense lines, 15° ≤ 2θ ≤ 90°, sorted by position:
| d [Å] | I_rel |
| --- | --- |
| 5.299 | 9.9 |
| 3.747 | 3.5 |
| 2.650 | 100.0 |
| 2.370 | 8.7 |
| 2.163 | 4.5 |
| 2.003 | 8.2 |
| 1.873 | 24.3 |
| 1.530 | 48.0 |
| 1.325 | 11.6 |
| 1.185 | 16.1 |

Cell and atoms:
Cell: 7.4940 7.4940 7.4940 Å, 90.00 90.00 90.00°
Space group Im-3 (No. 204)
One atom of each set of equivalent atoms:
Ce  0.0000  0.0000  0.0000
Fe  0.2500  0.2500  0.2500
Cu  0.0000  0.0000  0.5000
O  0.0000  0.1649  0.3048

Diffraction record for BaGdInWO6. The PXRD pattern is computed, not measured: it uses DFT lattice parameters and positions (PBE+U) and Cu Kα.
Intensities are scaled so that the largest is 100.

Most intense lines, 15° ≤ 2θ ≤ 90°, sorted by position:
| d [Å] | I_rel |
| --- | --- |
| 4.926 | 1.3 |
| 4.266 | 5.9 |
| 3.016 | 100.0 |
| 2.133 | 28.2 |
| 1.908 | 2.5 |
| 1.741 | 40.5 |
| 1.508 | 17.7 |
| 1.349 | 18.2 |
| 1.231 | 5.8 |
| 1.140 | 21.7 |

Cell and atoms:
Cell: 8.5314 8.5314 8.5314 Å, 90.00 90.00 90.00°
Space group F-43m (No. 216)
One atom of each set of equivalent atoms:
Ba  0.0000  0.0000  0.0000
Gd  0.2500  0.2500  0.2500
In  0.0000  0.0000  0.5000
W  0.2500  0.2500  0.7500
O  0.0199  0.2500  0.7500

Diffraction record for Sr2MnNbO6. The PXRD pattern is computed, not measured: it uses DFT lattice parameters and positions (PBE+U) and Cu Kα.
Intensities are scaled so that the largest is 100.

Most intense lines, 15° ≤ 2θ ≤ 90°, sorted by position:
| d [Å] | I_rel |
| --- | --- |
| 2.887 | 26.9 |
| 2.863 | 25.7 |
| 2.839 | 100.0 |
| 2.033 | 36.6 |
| 1.984 | 17.6 |
| 1.657 | 20.1 |
| 1.650 | 10.1 |
| 1.634 | 14.7 |
| 1.421 | 10.4 |
| 1.418 | 10.3 |

Cell and atoms:
Cell: 5.6755 9.7979 9.9433 Å, 98.92 91.14 105.74°
Space group P1 (No. 1)
One atom of each set of equivalent atoms:
Sr  0.0000  0.0000  0.0000
Sr  0.1232  0.2488  0.3746
Sr  0.2478  0.5002  0.7515
Sr  0.3724  0.7486  0.1258
Sr  0.4990  0.0001  0.4999
Sr  0.6234  0.2486  0.8745
Sr  0.7485  0.5001  0.2513
Sr  0.8712  0.7489  0.6260
Mn  0.1861  0.3745  0.0631
Mn  0.4357  0.8745  0.8128
Mn  0.6858  0.3745  0.5629
Mn  0.9353  0.8743  0.3127
Nb  0.0683  0.1246  0.6799
Nb  0.3024  0.6244  0.4457
Nb  0.5689  0.1244  0.1799
Nb  0.8035  0.6243  0.9457
O  0.0160  0.0072  0.4836
O  0.1006  0.7535  0.8943
O  0.1041  0.7493  0.3868
O  0.1399  0.2547  0.8532
O  0.2322  0.4947  0.2719
O  0.2634  0.9985  0.7394
O  0.2738  0.9939  0.2313
O  0.3563  0.7423  0.6414
O  0.3810  0.2493  0.1109
O  0.3896  0.2412  0.6079
O  0.4832  0.5069  0.0171
O  0.4895  0.4992  0.5147
O  0.5165  0.0071  0.9837
O  0.5976  0.7544  0.3935
O  0.6081  0.7502  0.8860
O  0.6399  0.2546  0.3532
O  0.7329  0.4945  0.7719
O  0.7669  0.9994  0.2386
O  0.7714  0.9952  0.7306
O  0.8560  0.7422  0.1413
O  0.8826  0.2503  0.6107
O  0.8889  0.2418  0.1078
O  0.9822  0.5071  0.5170
O  0.9905  0.4992  0.0147

Diffraction record for Li6CrSn3P6O24. The PXRD pattern is computed, not measured: it uses DFT lattice parameters and positions (PBE+U) and Cu Kα.
Intensities are scaled so that the largest is 100.

Most intense lines, 15° ≤ 2θ ≤ 90°, sorted by position:
| d [Å] | I_rel |
| --- | --- |
| 4.631 | 48.0 |
| 4.569 | 94.0 |
| 4.303 | 100.0 |
| 4.240 | 54.0 |
| 3.832 | 30.0 |
| 3.784 | 75.8 |
| 2.720 | 41.3 |
| 2.662 | 75.1 |
| 2.625 | 45.9 |
| 1.893 | 28.5 |

Cell and atoms:
Cell: 8.5157 8.6315 8.6644 Å, 63.69 65.26 64.52°
Space group P1 (No. 1)
One atom of each set of equivalent atoms:
Li  0.0000  0.0000  0.0000
Li  0.0537  0.4931  0.9315
Li  0.3758  0.1432  0.7278
Li  0.5224  0.8387  0.1225
Li  0.7011  0.3109  0.4857
Li  0.8299  0.6054  0.2855
Cr  0.6868  0.4635  0.1037
Sn  0.2005  0.9803  0.6199
Sn  0.4972  0.2932  0.9251
Sn  0.9890  0.7741  0.4018
P  0.0779  0.1800  0.2111
P  0.2663  0.6898  0.0098
P  0.3958  0.5888  0.5057
P  0.5820  0.0461  0.3268
P  0.8013  0.8703  0.8154
P  0.9191  0.3727  0.6708
O  0.0215  0.0250  0.2208
O  0.0803  0.7312  0.1562
O  0.1074  0.2184  0.6759
O  0.1366  0.1182  0.3804
O  0.2210  0.2220  0.0281
O  0.2458  0.6498  0.4166
O  0.2511  0.5570  0.9482
O  0.2603  0.8843  0.8639
O  0.3458  0.7294  0.5972
O  0.4140  0.3942  0.6429
O  0.4357  0.6279  0.0674
O  0.4429  0.0404  0.5169
O  0.5066  0.0346  0.2005
O  0.5785  0.5868  0.3580
O  0.6101  0.0085  0.8346
O  0.6382  0.2165  0.2598
O  0.7467  0.8685  0.3475
O  0.7850  0.3058  0.6607
O  0.7920  0.6983  0.9847
O  0.8669  0.4296  0.8331
O  0.8735  0.8255  0.6388
O  0.9122  0.3549  0.2134
O  0.9482  0.5301  0.4877
O  0.9489  0.9389  0.8093